# Ac2FeCoO6
Theoretical X-ray diffraction stick pattern, λ = 1.5418 Å (Cu Kα). Input: the PBE+U geometry in Alexandria.
Kinematic intensities with the Lorentz-polarization factor, no thermal factor.

Structure:
```
Ac2FeCoO6
1.0
5.570 0.000 0.000
0.000 5.570 0.000
0.000 0.000 3.952
Ac Fe Co O
2 1 1 6
Direct
0.000 0.500 0.000 Ac
0.500 0.000 0.000 Ac
0.000 0.000 0.500 Fe
0.500 0.500 0.500 Co
0.000 0.000 0.000 O
0.255 0.255 0.500 O
0.255 0.745 0.500 O
0.500 0.500 0.000 O
0.745 0.255 0.500 O
0.745 0.745 0.500 O
```

The 10 most intense peaks (5 to 70 degrees two-theta), low angle first:
index  d/Å  I (rel.)
1 1 0  3.943  33
2 0 0  2.788  100
2 0 1  2.277  24
0 0 2  1.976  10
2 2 0  1.969  19
3 1 0  1.762  11
2 0 2  1.612  13
3 1 1  1.609  27
2 2 2  1.395  12
4 0 0  1.393  6